(1)
Simulated powder XRD pattern of Sr2Ta2O7 for Cu Kα (λ = 1.5418 Å), from a DFT-relaxed cell (PBE, OQMD).

Structure:
Cell lengths 13.733, 13.733, 5.695 Å; angles 90.00, 90.00, 163.41 degrees
Atoms (fractional coordinates):
Sr1 0.054 0.946 0.750
Sr2 0.213 0.787 0.250
Sr3 0.787 0.213 0.750
Sr4 0.946 0.054 0.250
Ta1 0.339 0.661 0.250
Ta2 0.445 0.555 0.750
Ta3 0.555 0.445 0.250
Ta4 0.661 0.339 0.750
O1 0.047 0.953 0.250
O2 0.150 0.850 0.750
O3 0.292 0.708 0.009
O4 0.292 0.708 0.491
O5 0.400 0.600 0.009
O6 0.400 0.600 0.491
O7 0.500 0.500 0.000
O8 0.500 0.500 0.500
O9 0.600 0.400 0.509
O10 0.600 0.400 0.991
O11 0.708 0.292 0.509
O12 0.708 0.292 0.991
O13 0.850 0.150 0.250
O14 0.953 0.047 0.750

Principal peaks in the range 10° ≤ 2θ ≤ 80°, in order of rising 2θ:
20.35°, rel. 39.3; 22.67°, rel. 31.2; 25.12°, rel. 36.9; 26.23°, rel. 30.5; 29.17°, rel. 69.3; 31.42°, rel. 46.1; 32.07°, rel. 100.0; 49.64°, rel. 40.9

---

(2)
Simulated powder XRD pattern of SrTa4O11 for Cu Kα (λ = 1.5418 Å), from a DFT-relaxed cell (PBE, OQMD).

Structure:
Cell lengths 6.254, 6.254, 12.364 Å; angles 90.00, 90.00, 120.00 degrees
Atoms (fractional coordinates):
Sr1 0.333 0.667 0.250
Sr2 0.667 0.333 0.750
Ta1 0.000 0.358 0.500
Ta2 0.000 0.642 0.000
Ta3 0.333 0.667 0.750
Ta4 0.358 0.000 0.500
Ta5 0.358 0.358 0.000
Ta6 0.642 0.000 0.000
Ta7 0.642 0.642 0.500
Ta8 0.667 0.333 0.250
O1 0.000 0.248 0.000
O2 0.000 0.752 0.500
O3 0.061 0.429 0.655
O4 0.061 0.633 0.845
O5 0.248 0.000 0.000
O6 0.248 0.248 0.500
O7 0.333 0.667 0.036
O8 0.333 0.667 0.464
O9 0.367 0.429 0.845
O10 0.367 0.939 0.655
O11 0.429 0.061 0.345
O12 0.429 0.367 0.155
O13 0.571 0.633 0.655
O14 0.571 0.939 0.845
O15 0.633 0.061 0.155
O16 0.633 0.571 0.345
O17 0.667 0.333 0.536
O18 0.667 0.333 0.964
O19 0.752 0.000 0.500
O20 0.752 0.752 0.000
O21 0.939 0.367 0.345
O22 0.939 0.571 0.155

Principal peaks in the range 10° ≤ 2θ ≤ 80°, in order of rising 2θ:
14.33°, rel. 43.8; 16.37°, rel. 40.9; 28.88°, rel. 54.1; 29.46°, rel. 100.0; 32.08°, rel. 97.0; 36.05°, rel. 35.8; 50.56°, rel. 37.9; 59.27°, rel. 40.6

---

(3)
Simulated powder XRD pattern of Sr3TcO6 for Cu Kα (λ = 1.5418 Å), from a DFT-relaxed cell (PBE, OQMD).

Structure:
Cell lengths 5.801, 6.055, 10.119 Å; angles 90.00, 124.62, 90.00 degrees
Atoms (fractional coordinates):
Sr1 0.000 0.000 0.000
Sr2 0.000 0.500 0.500
Sr3 0.262 0.054 0.746
Sr4 0.262 0.446 0.246
Sr5 0.738 0.554 0.754
Sr6 0.738 0.946 0.254
Tc1 0.500 0.000 0.500
Tc2 0.500 0.500 0.000
O1 0.179 0.044 0.281
O2 0.179 0.456 0.781
O3 0.276 0.676 0.046
O4 0.276 0.824 0.546
O5 0.395 0.235 0.064
O6 0.395 0.265 0.564
O7 0.605 0.735 0.436
O8 0.605 0.765 0.936
O9 0.724 0.176 0.454
O10 0.724 0.324 0.954
O11 0.821 0.544 0.219
O12 0.821 0.956 0.719

Principal peaks in the range 10° ≤ 2θ ≤ 80°, in order of rising 2θ:
29.50°, rel. 45.3; 30.19°, rel. 100.0; 30.34°, rel. 99.4; 30.83°, rel. 45.7; 43.19°, rel. 46.3; 43.47°, rel. 26.9; 52.82°, rel. 28.5; 54.36°, rel. 30.0

---

(4)
Simulated powder XRD pattern of SrTcO3 for Cu Kα (λ = 1.5418 Å), from a DFT-relaxed cell (PBE, OQMD).

Structure:
Cell lengths 5.565, 7.891, 5.595 Å; angles 90.00, 90.00, 90.00 degrees
Atoms (fractional coordinates):
Sr1 0.007 0.250 0.002
Sr2 0.493 0.750 0.502
Sr3 0.507 0.250 0.498
Sr4 0.993 0.750 0.998
Tc1 0.000 0.000 0.500
Tc2 0.000 0.500 0.500
Tc3 0.500 0.000 0.000
Tc4 0.500 0.500 0.000
O1 0.001 0.750 0.450
O2 0.240 0.525 0.760
O3 0.240 0.975 0.760
O4 0.260 0.025 0.260
O5 0.260 0.475 0.260
O6 0.499 0.250 0.950
O7 0.501 0.750 0.050
O8 0.740 0.525 0.740
O9 0.740 0.975 0.740
O10 0.760 0.025 0.240
O11 0.760 0.475 0.240
O12 0.999 0.250 0.550

Principal peaks in the range 10° ≤ 2θ ≤ 80°, in order of rising 2θ:
22.53°, rel. 4.6; 32.06°, rel. 100.0; 32.17°, rel. 19.8; 46.01°, rel. 38.8; 57.09°, rel. 24.6; 57.28°, rel. 23.6; 67.10°, rel. 14.9; 76.32°, rel. 13.7

---

(5)
Simulated powder XRD pattern of SrZnTeO for Cu Kα (λ = 1.5418 Å), from a DFT-relaxed cell (PBE, OQMD).

Structure:
Cell lengths 4.122, 13.913, 6.067 Å; angles 90.00, 90.00, 90.00 degrees
Atoms (fractional coordinates):
Sr1 0.000 0.087 0.250
Sr2 0.000 0.913 0.750
Sr3 0.500 0.413 0.750
Sr4 0.500 0.587 0.250
Zn1 0.000 0.407 0.250
Zn2 0.000 0.593 0.750
Zn3 0.500 0.093 0.750
Zn4 0.500 0.907 0.250
Te1 0.000 0.203 0.750
Te2 0.000 0.797 0.250
Te3 0.500 0.297 0.250
Te4 0.500 0.703 0.750
O1 0.000 0.500 0.000
O2 0.000 0.500 0.500
O3 0.500 0.000 0.000
O4 0.500 0.000 0.500

Principal peaks in the range 10° ≤ 2θ ≤ 80°, in order of rising 2θ:
28.98°, rel. 13.4; 29.44°, rel. 41.2; 29.60°, rel. 21.0; 32.60°, rel. 100.0; 43.93°, rel. 17.2; 53.35°, rel. 12.6; 53.80°, rel. 23.0; 54.25°, rel. 22.9

---

(6)
Simulated powder XRD pattern of SrZnTeO for Cu Kα (λ = 1.5418 Å), from a DFT-relaxed cell (PBE, OQMD).

Structure:
Cell lengths 7.490, 7.782, 13.257 Å; angles 90.00, 90.00, 90.00 degrees
Atoms (fractional coordinates):
Sr1 0.110 0.067 0.212
Sr2 0.110 0.433 0.712
Sr3 0.390 0.567 0.212
Sr4 0.390 0.933 0.712
Sr5 0.610 0.067 0.288
Sr6 0.610 0.433 0.788
Sr7 0.890 0.567 0.288
Sr8 0.890 0.933 0.788
Zn1 0.064 0.708 0.062
Zn2 0.064 0.792 0.562
Zn3 0.436 0.208 0.062
Zn4 0.436 0.292 0.562
Zn5 0.564 0.708 0.438
Zn6 0.564 0.792 0.938
Zn7 0.936 0.208 0.438
Zn8 0.936 0.292 0.938
Te1 0.249 0.554 0.463
Te2 0.249 0.946 0.963
Te3 0.251 0.054 0.463
Te4 0.251 0.446 0.963
Te5 0.749 0.554 0.037
Te6 0.749 0.946 0.537
Te7 0.751 0.054 0.037
Te8 0.751 0.446 0.537
O1 0.118 0.740 0.205
O2 0.118 0.760 0.705
O3 0.382 0.240 0.205
O4 0.382 0.260 0.705
O5 0.618 0.740 0.295
O6 0.618 0.760 0.795
O7 0.882 0.240 0.295
O8 0.882 0.260 0.795

Principal peaks in the range 10° ≤ 2θ ≤ 80°, in order of rising 2θ:
13.36°, rel. 66.0; 23.82°, rel. 86.4; 27.31°, rel. 100.0; 29.47°, rel. 72.6; 33.20°, rel. 54.3; 35.93°, rel. 82.0; 37.62°, rel. 68.1; 55.53°, rel. 56.1

---

(7)
Simulated powder XRD pattern of Sr3Tm4O9 for Cu Kα (λ = 1.5418 Å), from a DFT-relaxed cell (PBE, OQMD).

Structure:
Cell lengths 8.937, 8.937, 8.937 Å; angles 38.50, 38.50, 38.50 degrees
Atoms (fractional coordinates):
Sr1 0.000 0.000 0.000
Sr2 0.173 0.173 0.173
Sr3 0.593 0.593 0.593
Tm1 0.304 0.304 0.304
Tm2 0.431 0.431 0.431
Tm3 0.742 0.742 0.742
Tm4 0.868 0.868 0.868
O1 0.041 0.433 0.611
O2 0.124 0.556 0.744
O3 0.172 0.999 0.587
O4 0.433 0.611 0.041
O5 0.556 0.744 0.124
O6 0.587 0.172 0.999
O7 0.611 0.041 0.433
O8 0.744 0.124 0.556
O9 0.999 0.587 0.172

Principal peaks in the range 10° ≤ 2θ ≤ 80°, in order of rising 2θ:
18.80°, rel. 38.0; 30.34°, rel. 100.0; 30.73°, rel. 82.2; 43.73°, rel. 41.4; 45.05°, rel. 33.2; 53.90°, rel. 25.6; 54.15°, rel. 38.8; 71.83°, rel. 15.3

---

(8)
Simulated powder XRD pattern of Sr4Zr4O11 for Cu Kα (λ = 1.5418 Å), from a DFT-relaxed cell (PBE, OQMD).

Structure:
Cell lengths 5.808, 8.211, 5.863 Å; angles 90.00, 90.07, 90.00 degrees
Atoms (fractional coordinates):
Sr1 0.000 0.000 0.000
Sr2 0.007 0.500 0.945
Sr3 0.495 0.500 0.448
Sr4 0.517 0.000 0.514
Zr1 0.002 0.250 0.478
Zr2 0.002 0.750 0.478
Zr3 0.504 0.249 0.980
Zr4 0.504 0.751 0.980
O1 0.212 0.286 0.194
O2 0.212 0.714 0.194
O3 0.289 0.288 0.691
O4 0.289 0.712 0.691
O5 0.427 0.000 0.958
O6 0.575 0.500 0.005
O7 0.716 0.209 0.268
O8 0.716 0.791 0.268
O9 0.790 0.213 0.768
O10 0.790 0.787 0.768
O11 0.919 0.500 0.509

Principal peaks in the range 10° ≤ 2θ ≤ 80°, in order of rising 2θ:
30.49°, rel. 18.4; 30.73°, rel. 100.0; 43.89°, rel. 22.8; 44.11°, rel. 11.8; 54.34°, rel. 15.1; 54.58°, rel. 8.2; 54.72°, rel. 26.6; 63.98°, rel. 12.6